Diffraction record for MgNbAg. The X-ray powder pattern is calculated, not measured: it uses a crystal structure in Alexandria, relaxed with PBE and Cu Ka.

Cell and atoms:
```
data_MgNbAg
_cell_length_a 4.5164
_cell_length_b 3.2098
_cell_length_c 7.9080
_cell_angle_alpha 90.00
_cell_angle_beta 106.04
_cell_angle_gamma 90.00
_space_group_name_H-M_alt 'P 1 2/m 1'
_space_group_IT_number 10
loop_
_space_group_symop_operation_xyz
'x,y,z'
'-x,-y,-z'
'-x,y,-z'
'x,-y,z'
loop_
_atom_site_label
_atom_site_type_symbol
_atom_site_fract_x
_atom_site_fract_y
_atom_site_fract_z
Mg1 Mg 0.1727 0.0000 0.3473
Nb1 Nb 0.0000 0.5000 0.0000
Nb2 Nb 0.5000 0.0000 0.0000
Ag1 Ag 0.3379 0.5000 0.6736
```

The 10 most intense peaks (5 to 70 degrees two-theta), by angle:
26.31°, rel. 19, (1 0 1)
26.57°, rel. 19, (1 0 -2)
35.43°, rel. 64, (0 0 3)
38.64°, rel. 100, (1 1 1)
38.83°, rel. 99, (1 1 -2)
39.92°, rel. 46, (2 0 -1)
54.15°, rel. 18, (2 0 2)
54.71°, rel. 18, (2 0 -4)
65.63°, rel. 19, (1 1 4)
66.01°, rel. 19, (1 1 -5)